# BeNbAsBr2
Calculated PXRD pattern, Cu Kα. Input: a PBE-relaxed structure.
Peak positions follow from Bragg's law for the DFT cell and can differ from measured ones.

Crystal structure
Unit cell a=5.1698 b=5.1698 c=5.1074 alpha=90.00 beta=90.00 gamma=90.00
Space group P4/mmm (No. 123)
Unique sites:
Be 0.0000 0.0000 0.0000 x1
Nb 0.5000 0.5000 0.5000 x1
As 0.5000 0.5000 0.0000 x1
Br 0.0000 0.5000 0.5000 x2

The 12 most intense peaks (2θ = 10–90°), in order of rising 2θ:
2θ 17.15, I = 100, (1 0 0)
2θ 17.36, I = 55, (0 0 1)
2θ 30.06, I = 42, (1 1 1)
2θ 34.70, I = 73, (2 0 0)
2θ 35.14, I = 35, (0 0 2)
2θ 39.01, I = 52, (2 0 1)
2θ 39.35, I = 24, (1 0 2)
2θ 49.89, I = 25, (2 2 0)
2θ 50.22, I = 50, (2 0 2)
2θ 53.20, I = 16, (2 2 1)
2θ 53.46, I = 20, (2 1 2)
2θ 62.49, I = 25, (2 2 2)